1.
Pm2Nd2Ho2Mg: theoretical powder XRD pattern (Cu Kα (weighted mean of Kα1 and Kα2)), based on DFT lattice parameters and positions (GGA-PBE).
Lines closer than 0.1° are merged.

Crystal structure
```
Pm2Nd2Ho2Mg
1.0
0.000 2.587 16.868
2.584 0.000 16.868
2.584 2.587 0.000
Pm Nd Ho Mg
2 2 2 1
Cartesian
2.584 2.587 2.160 Pm
2.584 2.587 31.575 Pm
2.584 2.587 7.152 Nd
2.584 2.587 26.583 Nd
2.584 2.587 12.255 Ho
2.584 2.587 21.480 Ho
2.584 2.587 16.868 Mg
```

Main lines, in order of rising 2θ (10 to 80 degrees two-theta):
2θ (°)  I/Imax
27.7  10
30.7  100
34.7  38
37.3  12
49.9  14
51.9  19
57.7  7
59.7  30
63.2  7
63.9  10

***

2.
Pr2Nd6HoMg: theoretical powder XRD pattern (Cu Kα (weighted mean of Kα1 and Kα2)), based on DFT lattice parameters and positions (GGA-PBE).
Lines closer than 0.1° are merged.

Crystal structure
```
Pr2Nd6HoMg
1.0
4.683 -7.479 0.000
4.683 7.479 0.000
-1.722 0.000 9.756
Pr Nd Ho Mg
4 12 2 2
Cartesian
2.217 0.684 0.498 Pr
1.356 -0.684 5.376 Pr
6.288 0.684 4.380 Pr
5.427 -0.684 9.258 Pr
2.373 4.266 1.882 Nd
3.132 4.701 5.378 Nd
3.651 4.701 9.257 Nd
3.067 1.485 3.760 Nd
6.132 4.266 2.996 Nd
2.206 -1.485 8.638 Nd
5.438 1.485 1.118 Nd
1.512 -4.266 6.760 Nd
4.577 -1.485 5.996 Nd
3.993 -4.701 0.500 Nd
4.512 -4.701 4.379 Nd
5.271 -4.266 7.874 Nd
4.252 7.264 2.439 Ho
3.391 -7.264 7.317 Ho
3.391 1.430 7.317 Mg
4.252 -1.430 2.439 Mg
```

Main lines, in order of rising 2θ (10 to 80 degrees two-theta):
2θ (°)  I/Imax
28.5  67
29.5  79
30.0  56
31.2  55
31.3  100
31.4  60
32.2  28
32.3  27
32.9  52
36.9  39

***

Number 1 is which compound?
Pm2Nd2Ho2Mg